Ba4CoN4: theoretical powder X-ray diffraction pattern (copper Kα), based on the GGA-PBE geometry in the Materials Project.

Structure:
```
Ba4CoN4
1.0
6.801 0.000 0.000
2.696 6.820 0.000
2.584 2.902 8.891
Ba Co N
8 2 8
direct
0.060 0.256 0.450
0.173 0.179 0.031
0.393 0.689 0.843
0.436 0.273 0.650
0.564 0.727 0.350
0.607 0.311 0.157
0.827 0.821 0.969
0.940 0.744 0.550
0.184 0.683 0.214
0.816 0.317 0.786
0.051 0.110 0.768
0.154 0.509 0.137
0.272 0.525 0.398
0.420 0.757 0.099
0.580 0.243 0.901
0.728 0.475 0.602
0.846 0.491 0.863
0.949 0.890 0.232
```

Principal peaks in the range 10 to 90 degrees two-theta, by angle:
2theta  I (rel.)  h k l
26.4  27  1 2 2
27.5  48  0 2 0
27.7  23  0 1 -2
28.2  39  1 1 3
28.8  100  -1 1 2
30.6  29  1 1 -2
30.8  29  2 2 1
39.7  13  1 -1 3
45.3  14  3 1 -1
48.2  14  2 -2 1